Entry 1:
# AcTa2AgO7
Calculated X-ray powder pattern, Cu Kα (weighted mean of Kα1 and Kα2). Input: DFT lattice parameters and positions (GGA-PBE).

Largest 10 diffraction maxima, in order of rising 2θ, 5° ≤ 2θ ≤ 70°:
2θ (°)  d/Å  I (rel.)  index
7.84  11.281  45  0 0 1
27.90  3.198  100  1 0 2
31.73  2.820  12  0 0 4
32.62  2.745  37  1 1 0
33.17  2.701  13  1 0 3
46.15  1.967  20  1 1 4
46.80  1.941  19  2 0 0
52.50  1.743  8  1 1 5
55.37  1.659  30  2 1 2
57.65  1.599  9  2 0 4

Structure:
a b c (Å): 3.8824 3.8824 11.2808
angles (deg): 90.00 90.00 90.00
Space group P4/mmm (No. 123)
Unique sites:
Ac: 0.0000 0.0000 0.0000
Ta: 0.5000 0.5000 0.2152
Ag: 0.0000 0.0000 0.5000
O: 0.0000 0.5000 0.1753
O: 0.5000 0.5000 0.0000
O: 0.5000 0.5000 0.3753


Entry 2:
# La2Pm2Ga4Cu
Calculated X-ray powder pattern, Cu Kα (weighted mean of Kα1 and Kα2). Input: DFT lattice parameters and positions (GGA-PBE).

Largest 10 diffraction maxima, in order of rising 2θ, 5° ≤ 2θ ≤ 70°:
2θ (°)  d/Å  I (rel.)  index
24.99  3.563  24  2 0 0
32.30  2.771  100  2 0 2
32.96  2.718  27  1 0 3
35.64  2.519  68  2 2 0
40.93  2.205  10  0 0 4
41.80  2.161  21  2 1 3
51.28  1.781  23  4 0 0
55.37  1.659  16  2 2 4
56.07  1.640  15  3 2 3
61.92  1.499  29  4 2 2

Structure:
a b c (Å): 7.1258 7.1258 8.8196
angles (deg): 90.00 90.00 90.00
Space group I4/mmm (No. 139)
Unique sites:
La: 0.0000 0.5000 0.2500
Pm: 0.0000 0.0000 0.1847
Ga: 0.2359 0.2359 0.5000
Cu: 0.0000 0.0000 0.5000


Entry 3:
# NaRuPbO4
Calculated X-ray powder pattern, Cu Kα (weighted mean of Kα1 and Kα2). Input: DFT lattice parameters and positions (GGA-PBE).

Largest 10 diffraction maxima, in order of rising 2θ, 5° ≤ 2θ ≤ 70°:
2θ (°)  d/Å  I (rel.)  index
15.87  5.583  41  0 1 1
16.76  5.289  100  1 0 1
31.08  2.878  65  1 2 1
31.29  2.858  30  1 0 3
32.06  2.791  39  0 2 2
33.90  2.645  32  2 0 2
37.44  2.402  22  0 0 4
38.69  2.327  42  2 2 0
41.11  2.196  21  1 2 3
54.93  1.671  35  2 2 4

Structure:
a b c (Å): 6.3356 6.8595 9.6087
angles (deg): 90.00 90.00 90.00
Space group Imma (No. 74)
Unique sites:
Na: 0.0000 0.2500 0.1233
Ru: 0.2500 0.2500 0.7500
Pb: 0.0000 0.0000 0.5000
O: 0.0000 0.0560 0.7430
O: 0.2474 0.2500 0.5442


Entry 4:
# La2ReC2
Calculated X-ray powder pattern, Cu Kα (weighted mean of Kα1 and Kα2). Input: DFT lattice parameters and positions (GGA-PBE).

Largest 10 diffraction maxima, in order of rising 2θ, 5° ≤ 2θ ≤ 70°:
2θ (°)  d/Å  I (rel.)  index
30.36  2.945  51  0 1 3
31.13  2.873  17  2 1 0
31.54  2.836  20  2 0 2
32.31  2.770  100  2 1 1
32.69  2.739  67  0 2 0
33.20  2.699  71  1 1 3
36.81  2.441  17  1 0 4
43.78  2.068  17  2 0 4
55.69  1.650  17  2 2 4
58.11  1.587  19  2 3 1

Structure:
a b c (Å): 6.7472 5.4782 10.4756
angles (deg): 90.00 90.00 90.00
Space group Pnma (No. 62)
Unique sites:
La: 0.0253 0.2500 0.2153
La: 0.1948 0.2500 0.5486
Re: 0.2320 0.2500 0.8540
C: 0.0292 0.7500 0.2435
C: 0.1938 0.7500 0.5309


Entry 5:
# SnPO3F
Calculated X-ray powder pattern, Cu Kα (weighted mean of Kα1 and Kα2). Input: DFT lattice parameters and positions (GGA-PBE).

Largest 10 diffraction maxima, in order of rising 2θ, 5° ≤ 2θ ≤ 70°:
2θ (°)  d/Å  I (rel.)  index
15.40  5.754  35  0 1 1
18.85  4.708  29  1 0 0
19.34  4.589  28  0 2 1
25.07  3.552  100  1 2 -1
26.54  3.359  23  1 1 1
27.07  3.294  41  0 4 0
29.06  3.073  69  1 2 1
33.19  2.699  22  1 4 0
43.59  2.077  21  0 6 1
47.43  1.917  22  0 3 3

Structure:
a b c (Å): 4.8054 13.1765 6.5292
angles (deg): 90.00 101.57 90.00
Space group P2_1/c (No. 14)
Unique sites:
Sn: 0.0394 0.1351 0.3082
P: 0.3676 0.6470 0.8185
O: 0.1764 0.7206 0.6741
O: 0.2201 0.5852 0.9650
O: 0.3488 0.1944 0.5751
F: 0.4462 0.5643 0.6619


Entry 6:
# Pm8AuSe6
Calculated X-ray powder pattern, Cu Kα (weighted mean of Kα1 and Kα2). Input: DFT lattice parameters and positions (GGA-PBE).

Largest 10 diffraction maxima, in order of rising 2θ, 5° ≤ 2θ ≤ 70°:
2θ (°)  d/Å  I (rel.)  index
26.99  3.303  57  2 -1 1
28.69  3.111  54  0 2 1
28.92  3.087  86  3 0 0
33.32  2.689  100  3 -1 1
34.93  2.568  48  1 3 0
39.98  2.255  54  2 2 1
43.06  2.100  20  0 0 2
47.99  1.896  38  3 2 1
56.61  1.626  16  3 1 2
62.14  1.494  13  3 2 2

Structure:
a b c (Å): 10.6931 10.6931 4.2010
angles (deg): 90.00 90.00 120.00
Space group P-3 (No. 147)
Unique sites:
Pm: 0.0347 0.3123 0.2497
Pm: 0.3333 0.6667 0.7505
Au: 0.0000 0.0000 0.0000
Se: 0.1282 0.6460 0.2499


Entry 7:
# Pm8Co2Pt
Calculated X-ray powder pattern, Cu Kα (weighted mean of Kα1 and Kα2). Input: DFT lattice parameters and positions (GGA-PBE).

Largest 10 diffraction maxima, in order of rising 2θ, 5° ≤ 2θ ≤ 70°:
2θ (°)  d/Å  I (rel.)  index
26.97  3.306  21  4 0 1
28.52  3.130  41  3 1 1
31.83  2.812  59  1 1 -2
32.03  2.795  100  5 1 -1
33.61  2.667  38  1 1 2
34.96  2.566  64  0 2 0
36.63  2.453  20  6 0 1
38.14  2.360  16  5 1 -2
51.53  1.773  15  6 2 1
60.87  1.522  16  5 3 -1

Structure:
a b c (Å): 17.5362 5.1327 6.7212
angles (deg): 90.00 101.51 90.00
Space group C2/m (No. 12)
Unique sites:
Pm: 0.0442 0.0000 0.2821
Pm: 0.0888 0.5000 0.9384
Pm: 0.1732 0.5000 0.4709
Pm: 0.1999 0.0000 0.8399
Co: 0.2021 0.0000 0.2350
Pt: 0.0000 0.5000 0.5000


Entry 8:
# Na5B6C4
Calculated X-ray powder pattern, Cu Kα (weighted mean of Kα1 and Kα2). Input: DFT lattice parameters and positions (GGA-PBE).

Largest 10 diffraction maxima, in order of rising 2θ, 5° ≤ 2θ ≤ 70°:
2θ (°)  d/Å  I (rel.)  index
20.96  4.238  1  0 0 2
36.21  2.481  12  1 3 1
36.27  2.477  6  2 1 1
42.23  2.140  100  2 1 3
42.67  2.119  25  0 0 4
57.19  1.611  10  1 3 -3
65.09  1.433  6  0 5 1
65.20  1.431  11  3 4 2
69.21  1.357  1  0 5 -1
69.32  1.356  1  3 4 0

Structure:
a b c (Å): 4.9541 7.5808 8.9428
angles (deg): 76.04 73.98 70.93
Space group P-1 (No. 2)
Unique sites:
Na: 0.0000 0.0000 0.0000
Na: 0.0000 0.5000 0.5000
Na: 0.1989 0.1001 0.5000
Na: 0.1991 0.6014 0.0002
Na: 0.4000 0.2003 0.9998
Na: 0.4007 0.7010 0.4983
B: 0.0344 0.3496 0.2497
B: 0.1586 0.2610 0.7496
B: 0.2158 0.9503 0.2503
B: 0.3695 0.8386 0.7503
B: 0.4322 0.0499 0.7498
B: 0.4338 0.5504 0.2500
C: 0.0340 0.8475 0.7503
C: 0.1680 0.7476 0.2507
C: 0.2262 0.4555 0.7499
C: 0.3685 0.3559 0.2492


Entry 9:
# Bi3Sb2Br2
Calculated X-ray powder pattern, Cu Kα (weighted mean of Kα1 and Kα2). Input: DFT lattice parameters and positions (GGA-PBE).

Largest 10 diffraction maxima, in order of rising 2θ, 5° ≤ 2θ ≤ 70°:
2θ (°)  d/Å  I (rel.)  index
16.12  5.499  82  0 1 1
21.90  4.058  73  1 1 1
22.64  3.927  84  2 1 -1
22.77  3.906  77  1 0 -2
23.84  3.732  69  2 1 0
31.05  2.881  81  1 2 -2
32.36  2.767  87  3 0 0
33.29  2.691  100  1 3 0
36.25  2.478  77  1 1 -3
39.05  2.307  66  2 0 2

Structure:
a b c (Å): 9.0236 8.5305 7.8193
angles (deg): 90.00 113.10 90.00
Space group P2_1/c (No. 14)
Unique sites:
Bi: 0.0000 0.0000 0.0000
Bi: 0.3151 0.0604 0.7224
Sb: 0.3618 0.1064 0.1178
Br: 0.0622 0.7027 0.8324


Entry 10:
# LaTm2Ag3
Calculated X-ray powder pattern, Cu Kα (weighted mean of Kα1 and Kα2). Input: DFT lattice parameters and positions (GGA-PBE).

Largest 10 diffraction maxima, in order of rising 2θ, 5° ≤ 2θ ≤ 70°:
2θ (°)  d/Å  I (rel.)  index
7.88  11.224  7  0 0 1
24.58  3.622  3  1 0 0
34.46  2.602  100  1 0 3
35.03  2.561  51  1 1 0
40.67  2.218  5  1 0 4
48.68  1.871  8  0 0 6
50.38  1.811  18  2 0 0
61.37  1.511  15  1 1 6
62.47  1.487  35  2 1 3
69.12  1.359  3  1 1 7

Structure:
a b c (Å): 3.6224 3.6224 11.2238
angles (deg): 90.00 90.00 90.00
Space group P4/mmm (No. 123)
Unique sites:
La: 0.0000 0.0000 0.0000
Tm: 0.0000 0.0000 0.3410
Ag: 0.5000 0.5000 0.1917
Ag: 0.5000 0.5000 0.5000


Entry 11:
# TcAgW
Calculated X-ray powder pattern, Cu Kα (weighted mean of Kα1 and Kα2). Input: DFT lattice parameters and positions (GGA-PBE).

Largest 10 diffraction maxima, in order of rising 2θ, 5° ≤ 2θ ≤ 70°:
2θ (°)  d/Å  I (rel.)  index
21.15  4.200  7  0 0 2
23.45  3.793  13  0 1 1
35.30  2.543  5  1 0 1
38.50  2.338  100  0 1 3
39.90  2.260  90  1 1 0
42.53  2.126  38  0 2 0
45.59  1.990  5  1 1 2
47.05  1.931  56  1 0 3
65.27  1.429  41  1 2 3
66.82  1.400  10  0 0 6

Structure:
a b c (Å): 2.6678 4.2510 8.4004
angles (deg): 90.00 90.00 90.00
Space group Imm2 (No. 44)
Unique sites:
Tc: 0.0000 0.0000 0.0000
Ag: 0.0000 0.0000 0.6654
W: 0.0000 0.0000 0.3341


Entry 12:
# Tb5Dy3Y4
Calculated X-ray powder pattern, Cu Kα (weighted mean of Kα1 and Kα2). Input: DFT lattice parameters and positions (GGA-PBE).

Largest 10 diffraction maxima, in order of rising 2θ, 5° ≤ 2θ ≤ 70°:
2θ (°)  d/Å  I (rel.)  index
10.16  8.708  2  0 0 1
16.08  5.513  2  0 1 1
30.77  2.906  100  1 2 1
35.68  2.516  51  2 0 2
51.33  1.780  30  3 2 0
51.43  1.777  6  2 0 -4
61.03  1.518  25  4 0 1
61.12  1.516  18  3 2 -3
64.00  1.455  3  2 4 2
64.13  1.452  9  0 0 6

Structure:
a b c (Å): 6.1662 7.1215 8.7080
angles (deg): 89.99 89.89 89.89
Space group P-1 (No. 2)
Unique sites:
Tb: 0.0000 0.0000 0.0000
Tb: 0.3337 0.4998 0.6666
Tb: 0.4990 0.7496 0.0005
Dy: 0.0000 0.5000 0.0000
Dy: 0.1671 0.7490 0.3327
Y: 0.1660 0.2504 0.3335
Y: 0.3331 0.0005 0.6671